Structure and simulated XRD peak list of NiSnO2 (a DFT-relaxed cell (GGA+U, Alexandria); Cu Ka).

abc: 3.411 5.377 6.298
angles: 90.05 91.05 104.65
Space group P1 (No. 1)
Unique sites:
Ni (0.000, 0.000, 0.000) [1 per cell]
Ni (0.027, 0.504, 0.376) [1 per cell]
Sn (0.690, 0.506, 0.896) [1 per cell]
Sn (0.700, 0.009, 0.477) [1 per cell]
O (0.167, 0.368, 0.089) [1 per cell]
O (0.168, 0.872, 0.282) [1 per cell]
O (0.560, 0.105, 0.822) [1 per cell]
O (0.567, 0.606, 0.548) [1 per cell]

The 10 most intense peaks (10 to 80 degrees two-theta), by angle:
index, 2theta, I_rel
1 0 0, 27.0, 52
0 0 2, 28.3, 100
-1 1 1, 31.4, 70
1 -1 1, 31.8, 70
0 2 0, 34.5, 97
1 1 -1, 38.3, 50
1 1 1, 38.8, 35
1 0 2, 40.0, 30
0 2 -2, 45.1, 31
-2 1 1, 55.7, 30